LiVFeO4: computed X-ray diffraction stick pattern (copper Kα), based on DFT lattice parameters and positions (PBE+U).
Peak positions follow from Bragg's law for the DFT cell and can differ from measured ones.

The 6 most intense peaks (10° ≤ 2θ ≤ 80°), in order of falling intensity:
d = 2.536 Å, rel. 100, hkl 2 1 1
d = 2.959 Å, rel. 61, hkl 1 1 2
d = 2.514 Å, rel. 54, hkl 1 0 3
d = 1.480 Å, rel. 48, hkl 2 2 4
d = 3.756 Å, rel. 38, hkl 1 1 1
d = 5.953 Å, rel. 33, hkl 1 0 0

Crystal structure
```
data_LiVFeO4
_space_group_name_H-M_alt 'P 43 2 2'
_space_group_IT_number 95
_cell_length_a 5.9531
_cell_length_b 5.9531
_cell_length_c 8.3208
_cell_angle_alpha 90.00
_cell_angle_beta 90.00
_cell_angle_gamma 90.00
loop_
_space_group_symop_operation_xyz
'x,y,z'
'-y,x,z+3/4'
'-x,-y,z+1/2'
'y,-x,z+1/4'
'x,-y,-z+1/2'
'-y,-x,-z+3/4'
'-x,y,-z'
'y,x,-z+1/4'
loop_
_atom_site_label
_atom_site_type_symbol
_atom_site_fract_x
_atom_site_fract_y
_atom_site_fract_z
Li1 Li 0.0000 0.2332 0.0000
V1 V 0.2292 0.5000 0.2500
Fe1 Fe 0.2565 0.2565 0.6250
O1 O 0.0172 0.2689 0.2588
O2 O 0.2681 0.4861 0.0156
```

***

Na2NiPCO7: computed X-ray diffraction stick pattern (copper Kα), based on DFT lattice parameters and positions (PBE+U).
Peak positions follow from Bragg's law for the DFT cell and can differ from measured ones.

The 6 most intense peaks (10° ≤ 2θ ≤ 80°), in order of falling intensity:
d = 3.294 Å, rel. 100, hkl 0 0 4
d = 2.580 Å, rel. 67, hkl 2 0 0
d = 3.416 Å, rel. 65, hkl 1 2 0
d = 2.656 Å, rel. 50, hkl 1 1 -4
d = 4.062 Å, rel. 46, hkl 1 0 -2
d = 2.639 Å, rel. 46, hkl 1 -1 4

Crystal structure
```
data_Na2NiPCO7
_space_group_name_H-M_alt 'P 1'
_space_group_IT_number 1
_cell_length_a 5.1620
_cell_length_b 8.9247
_cell_length_c 13.1751
_cell_angle_alpha 89.56
_cell_angle_beta 89.87
_cell_angle_gamma 88.61
loop_
_space_group_symop_operation_xyz
'x,y,z'
loop_
_atom_site_label
_atom_site_type_symbol
_atom_site_fract_x
_atom_site_fract_y
_atom_site_fract_z
Na1 Na 0.0000 0.0000 0.0000
Na2 Na 0.0009 0.0032 0.4986
Na3 Na 0.0045 0.0098 0.7618
Na4 Na 0.5035 0.4802 0.5178
Na5 Na 0.5115 0.4949 0.2477
Na6 Na 0.5159 0.5015 0.0049
Na7 Na 0.9663 0.6545 0.6472
Na8 Na 0.9965 0.9963 0.2606
Ni1 Ni 0.5364 0.0935 0.6301
Ni2 Ni 0.5376 0.0994 0.1296
Ni3 Ni 0.9693 0.3988 0.8766
Ni4 Ni 0.9714 0.3959 0.3794
P1 P 0.0401 0.3249 0.1284
P2 P 0.0412 0.3231 0.6298
P3 P 0.4689 0.1691 0.3798
P4 P 0.4729 0.1704 0.8796
C1 C 0.0366 0.6797 0.8816
C2 C 0.0388 0.6721 0.3797
C3 C 0.4684 0.8176 0.6271
C4 C 0.4738 0.8215 0.1303
O1 O 0.0643 0.8118 0.3822
O2 O 0.0740 0.8189 0.8796
O3 O 0.1669 0.1994 0.3801
O4 O 0.1719 0.2000 0.8795
O5 O 0.2241 0.5802 0.8815
O6 O 0.2326 0.5760 0.3790
O7 O 0.2762 0.9163 0.6309
O8 O 0.2785 0.9166 0.1308
O9 O 0.3367 0.2849 0.6241
O10 O 0.3422 0.2954 0.1285
O11 O 0.4307 0.6786 0.6218
O12 O 0.4485 0.6816 0.1288
O13 O 0.5445 0.0716 0.4733
O14 O 0.5451 0.0763 0.2852
O15 O 0.5461 0.0724 0.9740
O16 O 0.5517 0.0744 0.7865
O17 O 0.6034 0.3222 0.3807
O18 O 0.6104 0.3215 0.8821
O19 O 0.6988 0.8843 0.1313
O20 O 0.7005 0.8732 0.6295
O21 O 0.8087 0.6224 0.8795
O22 O 0.8127 0.6098 0.3795
O23 O 0.8979 0.1732 0.6284
O24 O 0.9072 0.1711 0.1295
O25 O 0.9633 0.4190 0.0337
O26 O 0.9632 0.4190 0.2225
O27 O 0.9660 0.4264 0.5378
O28 O 0.9779 0.4188 0.7240
```

***

Co3P6O20: computed X-ray diffraction stick pattern (copper Kα), based on DFT lattice parameters and positions (PBE+U).
Peak positions follow from Bragg's law for the DFT cell and can differ from measured ones.

The 6 most intense peaks (10° ≤ 2θ ≤ 80°), in order of falling intensity:
d = 4.026 Å, rel. 100, hkl 2 2 0
d = 4.911 Å, rel. 54, hkl 1 1 2
d = 6.198 Å, rel. 48, hkl 0 0 2
d = 3.829 Å, rel. 42, hkl 2 2 1
d = 3.856 Å, rel. 41, hkl 1 3 1
d = 8.052 Å, rel. 35, hkl 1 1 0

Crystal structure
```
data_Co3P6O20
_space_group_name_H-M_alt 'C 2 2 21'
_space_group_IT_number 20
_cell_length_a 10.1227
_cell_length_b 13.2854
_cell_length_c 12.3955
_cell_angle_alpha 90.00
_cell_angle_beta 90.00
_cell_angle_gamma 90.00
loop_
_space_group_symop_operation_xyz
'x,y,z'
'-x,-y,z+1/2'
'x,-y,-z'
'-x,y,-z+1/2'
'x+1/2,y+1/2,z'
'-x+1/2,-y+1/2,z+1/2'
'x+1/2,-y+1/2,-z'
'-x+1/2,y+1/2,-z+1/2'
loop_
_atom_site_label
_atom_site_type_symbol
_atom_site_fract_x
_atom_site_fract_y
_atom_site_fract_z
Co1 Co 0.0000 0.1994 0.2500
Co2 Co 0.0000 0.2571 0.7500
Co3 Co 0.1393 0.5000 0.0000
P1 P 0.0538 0.2951 0.4860
P2 P 0.2293 0.3610 0.3172
P3 P 0.2384 0.4388 0.7776
O1 O 0.0154 0.2077 0.4125
O2 O 0.0425 0.3843 0.0235
O3 O 0.0808 0.2628 0.6008
O4 O 0.1240 0.1507 0.8005
O5 O 0.1297 0.3612 0.7903
O6 O 0.1316 0.0973 0.2312
O7 O 0.1399 0.3026 0.2430
O8 O 0.1873 0.4778 0.3088
O9 O 0.1952 0.3388 0.4414
O10 O 0.2413 0.0044 0.3852
```

***

Mn2ZnO4: computed X-ray diffraction stick pattern (copper Kα), based on DFT lattice parameters and positions (PBE+U).
Peak positions follow from Bragg's law for the DFT cell and can differ from measured ones.

The 6 most intense peaks (10° ≤ 2θ ≤ 80°), in order of falling intensity:
d = 2.592 Å, rel. 100, hkl 3 1 1
d = 1.520 Å, rel. 44, hkl 4 4 0
d = 3.039 Å, rel. 38, hkl 2 2 0
d = 1.654 Å, rel. 37, hkl 5 1 1
d = 1.755 Å, rel. 14, hkl 4 2 2
d = 2.149 Å, rel. 13, hkl 4 0 0

Crystal structure
abc: 8.5962 8.5962 8.5962
angles: 90.00 90.00 90.00
Space group Fd-3m (No. 227, origin choice 2)
Inequivalent atoms, fractional coordinates:
Mn  0.0000  0.0000  0.0000 [16 per cell]
Zn  0.1250  0.1250  0.6250 [8 per cell]
O  0.0109  0.0109  0.2391 [32 per cell]

***

Mn2OF3: computed X-ray diffraction stick pattern (copper Kα), based on DFT lattice parameters and positions (PBE+U).
Peak positions follow from Bragg's law for the DFT cell and can differ from measured ones.

The 6 most intense peaks (10° ≤ 2θ ≤ 80°), in order of falling intensity:
d = 2.652 Å, rel. 100, hkl 0 2 1
d = 3.379 Å, rel. 99, hkl 4 0 1
d = 3.519 Å, rel. 98, hkl 4 0 -1
d = 1.815 Å, rel. 65, hkl 8 2 -1
d = 1.775 Å, rel. 56, hkl 4 2 2
d = 1.443 Å, rel. 33, hkl 0 2 3

Crystal structure
```
data_Mn2OF3
_space_group_name_H-M_alt 'C 1 2/m 1'
_space_group_IT_number 12
_cell_length_a 19.5487
_cell_length_b 6.3217
_cell_length_c 4.8708
_cell_angle_alpha 90.00
_cell_angle_beta 92.33
_cell_angle_gamma 90.00
loop_
_space_group_symop_operation_xyz
'x,y,z'
'-x,-y,-z'
'-x,y,-z'
'x,-y,z'
'x+1/2,y+1/2,z'
'-x+1/2,-y+1/2,-z'
'-x+1/2,y+1/2,-z'
'x+1/2,-y+1/2,z'
loop_
_atom_site_label
_atom_site_type_symbol
_atom_site_fract_x
_atom_site_fract_y
_atom_site_fract_z
Mn1 Mn 0.0000 0.0000 0.0000
Mn2 Mn 0.0000 0.5000 0.0000
Mn3 Mn 0.1253 0.2458 0.4996
Mn4 Mn 0.2411 0.5000 0.9649
O1 O 0.0822 0.0000 0.3259
O2 O 0.1667 0.5000 0.6693
F1 F 0.0508 0.2490 0.7966
F2 F 0.0746 0.5000 0.3009
F3 F 0.1792 0.0000 0.7137
F4 F 0.1995 0.2495 0.2032
```

***

MgV2Cu2O6: computed X-ray diffraction stick pattern (copper Kα), based on DFT lattice parameters and positions (PBE+U).
Peak positions follow from Bragg's law for the DFT cell and can differ from measured ones.

The 6 most intense peaks (10° ≤ 2θ ≤ 80°), in order of falling intensity:
d = 2.588 Å, rel. 100, hkl 1 0 1
d = 2.571 Å, rel. 61, hkl -2 1 1
d = 2.626 Å, rel. 53, hkl 1 1 -1
d = 2.516 Å, rel. 47, hkl -1 1 2
d = 2.528 Å, rel. 45, hkl 0 1 -2
d = 5.139 Å, rel. 44, hkl 0 0 1

Crystal structure
```
data_MgV2Cu2O6
_space_group_name_H-M_alt 'P -1'
_space_group_IT_number 2
_cell_length_a 5.1465
_cell_length_b 5.1803
_cell_length_c 5.8671
_cell_angle_alpha 90.55
_cell_angle_beta 114.71
_cell_angle_gamma 118.83
loop_
_space_group_symop_operation_xyz
'x,y,z'
'-x,-y,-z'
loop_
_atom_site_label
_atom_site_type_symbol
_atom_site_fract_x
_atom_site_fract_y
_atom_site_fract_z
Mg1 Mg 0.0000 0.0000 0.0000
V1 V 0.3672 0.1914 0.5497
Cu1 Cu 0.1787 0.5952 0.7557
O1 O 0.1400 0.1951 0.7229
O2 O 0.2177 0.4080 0.2769
O3 O 0.4511 0.0552 0.2760
```